1.
# Sr2MnGe2O7
Computed PXRD pattern, a wavelength of 1.5418 Å. Input: a GGA+U-relaxed structure.
Lines closer than 0.1° are merged.

Largest 6 diffraction maxima, low angle first, 15° ≤ 2θ ≤ 90°:
2θ (°)  d/Å  I/Imax  h k l
26.93  3.311  16  2 0 1
28.99  3.080  100  2 1 1
33.77  2.654  24  3 1 0
47.76  1.904  12  4 1 1
48.12  1.891  22  3 1 2
61.98  1.497  14  5 2 1

Atomic structure:
Lattice parameters (Å, degrees): 8.3935 8.3935 5.3888 90.00 90.00 90.00
Space group P-42_1m (No. 113)
Unique sites:
Sr  0.1668  0.3332  0.4939 [4 per cell]
Mn  0.0000  0.0000  0.0000 [2 per cell]
Ge  0.1408  0.6408  0.9434 [4 per cell]
O  0.0000  0.5000  0.8096 [2 per cell]
O  0.0809  0.8158  0.7830 [8 per cell]
O  0.1389  0.6389  0.2666 [4 per cell]

***

2.
# MgMn4Fe2O8
Computed PXRD pattern, a wavelength of 1.5418 Å. Input: a GGA+U-relaxed structure.
Lines closer than 0.1° are merged.

Largest 6 diffraction maxima, low angle first, 15° ≤ 2θ ≤ 90°:
2θ (°)  d/Å  I/Imax  h k l
16.78  5.284  55  0 0 2
26.65  3.346  65  1 1 2
29.26  3.053  87  1 0 3
33.85  2.648  100  2 1 1
45.37  1.999  60  2 0 4
54.86  1.674  64  2 2 4

Atomic structure:
Lattice parameters (Å, degrees): 6.1163 6.1163 10.5583 90.00 90.00 90.00
Space group I-4m2 (No. 119)
Unique sites:
Mg  0.0000  0.0000  0.0000 [2 per cell]
Mn  0.0000  0.2531  0.1760 [8 per cell]
Fe  0.0000  0.0000  0.5000 [2 per cell]
Fe  0.0000  0.5000  0.7500 [2 per cell]
O  0.0000  0.2348  0.8604 [8 per cell]
O  0.0000  0.2522  0.3785 [8 per cell]

***

3.
# MgMn2Cr2O8
Computed PXRD pattern, a wavelength of 1.5418 Å. Input: a GGA+U-relaxed structure.
Lines closer than 0.1° are merged.

Largest 6 diffraction maxima, low angle first, 15° ≤ 2θ ≤ 90°:
2θ (°)  d/Å  I/Imax  h k l
22.67  3.923  65  1 1 -1
23.33  3.814  93  1 1 1
24.80  3.590  78  2 0 1
31.10  2.876  100  0 2 0
33.74  2.657  75  3 1 0
33.95  2.641  68  1 1 2

Atomic structure:
Lattice parameters (Å, degrees): 8.9988 5.7519 6.4304 90.00 93.13 90.00
Space group C2/m (No. 12)
Unique sites:
Mg  0.0000  0.0000  0.0000 [2 per cell]
Mn  0.0000  0.5000  0.0000 [2 per cell]
Mn  0.0000  0.5000  0.5000 [2 per cell]
Cr  0.1704  0.0000  0.7080 [4 per cell]
O  0.0341  0.2320  0.7588 [8 per cell]
O  0.2322  0.5000  0.0611 [4 per cell]
O  0.2393  0.5000  0.5100 [4 per cell]

***

4.
# Mn4P3O12
Computed PXRD pattern, a wavelength of 1.5418 Å. Input: a GGA+U-relaxed structure.
Lines closer than 0.1° are merged.

Largest 6 diffraction maxima, low angle first, 15° ≤ 2θ ≤ 90°:
2θ (°)  d/Å  I/Imax  h k l
18.38  4.826  47  1 0 4
20.86  4.259  100  0 0 6
23.41  3.801  65  1 1 3
29.69  3.009  73  1 1 6
32.40  2.763  42  2 1 1
38.09  2.362  45  1 1 9

Atomic structure:
Lattice parameters (Å, degrees): 8.4905 8.4905 25.5893 90.00 90.00 120.00
Space group R3c (No. 161, hexagonal axes)
Unique sites:
Mn  0.0000  0.0000  0.0000 [6 per cell]
Mn  0.0881  0.3724  0.3902 [18 per cell]
P  0.0194  0.3049  0.5961 [18 per cell]
O  0.0463  0.2317  0.2314 [18 per cell]
O  0.0569  0.2076  0.9398 [18 per cell]
O  0.0831  0.5340  0.7259 [18 per cell]
O  0.1369  0.4270  0.3126 [18 per cell]

***

What did the fourth record say?
# Mn4P3O12
Computed PXRD pattern, a wavelength of 1.5418 Å. Input: a GGA+U-relaxed structure.
Lines closer than 0.1° are merged.

Largest 6 diffraction maxima, low angle first, 15° ≤ 2θ ≤ 90°:
2θ (°)  d/Å  I/Imax  h k l
18.38  4.826  47  1 0 4
20.86  4.259  100  0 0 6
23.41  3.801  65  1 1 3
29.69  3.009  73  1 1 6
32.40  2.763  42  2 1 1
38.09  2.362  45  1 1 9

Atomic structure:
Lattice parameters (Å, degrees): 8.4905 8.4905 25.5893 90.00 90.00 120.00
Space group R3c (No. 161, hexagonal axes)
Unique sites:
Mn  0.0000  0.0000  0.0000 [6 per cell]
Mn  0.0881  0.3724  0.3902 [18 per cell]
P  0.0194  0.3049  0.5961 [18 per cell]
O  0.0463  0.2317  0.2314 [18 per cell]
O  0.0569  0.2076  0.9398 [18 per cell]
O  0.0831  0.5340  0.7259 [18 per cell]
O  0.1369  0.4270  0.3126 [18 per cell]